Record 1
# Sr2Al3In
Simulated powder X-ray diffraction pattern, Cu Kα (λ = 1.5418 Å). Input: a PBE-relaxed structure.

```
Sr2Al3In
1.0
5.647 -2.457 0.000
5.647 2.457 0.000
-5.545 0.000 5.703
Sr Al In
2 3 1
Direct
0.000 0.000 0.000
0.095 0.095 0.595
0.386 0.386 0.197
0.702 0.702 0.383
0.718 0.718 0.043
0.388 0.388 0.576
```

Most intense lines, 10 to 90 degrees two-theta, low angle first:
| 2θ/deg | d/Å | Rel. int. |
| --- | --- | --- |
| 15.54 | 5.703 | 227 |
| 21.15 | 4.201 | 274 |
| 21.25 | 4.180 | 218 |
| 30.66 | 2.916 | 555 |
| 30.86 | 2.897 | 783 |
| 31.05 | 2.881 | 1000 |
| 31.37 | 2.851 | 384 |
| 36.58 | 2.457 | 505 |
| 38.04 | 2.366 | 608 |
| 48.94 | 1.861 | 216 |



Record 2
# AlIr
Simulated powder X-ray diffraction pattern, Cu Kα (λ = 1.5418 Å). Input: a PBE-relaxed structure.

```
AlIr
1.0
3.018 0.000 0.000
0.000 3.018 0.000
0.000 0.000 3.018
Al Ir
1 1
Direct
0.000 0.000 0.000
0.500 0.500 0.500
```

Most intense lines, 10 to 90 degrees two-theta, low angle first:
| 2θ/deg | d/Å | Rel. int. |
| --- | --- | --- |
| 29.60 | 3.018 | 730 |
| 42.36 | 2.134 | 1000 |
| 52.52 | 1.742 | 204 |
| 61.45 | 1.509 | 168 |
| 69.67 | 1.350 | 266 |
| 77.48 | 1.232 | 346 |



Record 3
# Al9Ir2
Simulated powder X-ray diffraction pattern, Cu Kα (λ = 1.5418 Å). Input: a PBE-relaxed structure.

```
Al9Ir2
1.0
6.405 0.000 0.000
0.000 6.463 0.000
-0.764 0.000 8.746
Al Ir
18 4
Direct
0.000 0.000 0.000
0.000 0.500 0.500
0.098 0.215 0.727
0.098 0.285 0.227
0.213 0.604 0.040
0.213 0.896 0.540
0.388 0.195 0.999
0.388 0.305 0.499
0.400 0.520 0.770
0.400 0.980 0.270
0.600 0.020 0.730
0.600 0.480 0.230
0.612 0.695 0.501
0.612 0.805 0.001
0.787 0.104 0.460
0.787 0.396 0.960
0.902 0.715 0.773
0.902 0.785 0.273
0.264 0.623 0.332
0.264 0.877 0.832
0.736 0.123 0.168
0.736 0.377 0.668
```

Most intense lines, 10 to 90 degrees two-theta, low angle first:
| 2θ/deg | d/Å | Rel. int. |
| --- | --- | --- |
| 19.55 | 4.541 | 1000 |
| 21.49 | 4.136 | 741 |
| 22.62 | 3.932 | 611 |
| 23.64 | 3.763 | 463 |
| 24.58 | 3.622 | 543 |
| 25.68 | 3.469 | 460 |
| 27.97 | 3.190 | 472 |
| 29.47 | 3.031 | 634 |
| 42.52 | 2.126 | 561 |
| 43.26 | 2.091 | 470 |



Record 4
# Al3Ir
Simulated powder X-ray diffraction pattern, Cu Kα (λ = 1.5418 Å). Input: a PBE-relaxed structure.

```
Al3Ir
1.0
4.300 0.000 0.000
-2.150 3.724 0.000
0.000 0.000 7.796
Al Ir
6 2
Direct
0.000 0.000 0.250
0.000 0.000 0.750
0.333 0.667 0.079
0.333 0.667 0.421
0.667 0.333 0.579
0.667 0.333 0.921
0.333 0.667 0.750
0.667 0.333 0.250
```

Most intense lines, 10 to 90 degrees two-theta, low angle first:
| 2θ/deg | d/Å | Rel. int. |
| --- | --- | --- |
| 22.81 | 3.898 | 423 |
| 23.89 | 3.724 | 292 |
| 26.53 | 3.360 | 1000 |
| 42.02 | 2.150 | 545 |
| 42.42 | 2.131 | 645 |
| 48.34 | 1.883 | 352 |
| 50.39 | 1.811 | 181 |
| 61.24 | 1.514 | 219 |
| 64.54 | 1.444 | 162 |
| 77.05 | 1.238 | 226 |



Record 5
# Al3Ir
Simulated powder X-ray diffraction pattern, Cu Kα (λ = 1.5418 Å). Input: a PBE-relaxed structure.

```
Al3Ir
1.0
7.809 0.000 0.000
0.000 7.809 0.000
0.000 0.000 7.809
Al Ir
24 8
Direct
0.000 0.163 0.300
0.000 0.163 0.700
0.000 0.837 0.300
0.000 0.837 0.700
0.163 0.300 0.000
0.163 0.700 0.000
0.200 0.337 0.500
0.200 0.663 0.500
0.300 0.000 0.163
0.300 0.000 0.837
0.337 0.500 0.200
0.337 0.500 0.800
0.500 0.200 0.337
0.500 0.200 0.663
0.500 0.800 0.337
0.500 0.800 0.663
0.663 0.500 0.200
0.663 0.500 0.800
0.700 0.000 0.163
0.700 0.000 0.837
0.800 0.337 0.500
0.800 0.663 0.500
0.837 0.300 0.000
0.837 0.700 0.000
0.000 0.000 0.000
0.000 0.500 0.250
0.000 0.500 0.750
0.250 0.000 0.500
0.500 0.250 0.000
0.500 0.500 0.500
0.500 0.750 0.000
0.750 0.000 0.500
```

Most intense lines, 10 to 90 degrees two-theta, low angle first:
| 2θ/deg | d/Å | Rel. int. |
| --- | --- | --- |
| 22.78 | 3.904 | 387 |
| 25.51 | 3.492 | 1000 |
| 27.99 | 3.188 | 843 |
| 41.71 | 2.166 | 835 |
| 43.36 | 2.087 | 875 |
| 46.52 | 1.952 | 346 |
| 53.80 | 1.704 | 261 |
| 64.24 | 1.450 | 306 |
| 67.90 | 1.380 | 164 |
| 74.98 | 1.267 | 282 |



Record 6
# MnAlIr
Simulated powder X-ray diffraction pattern, Cu Kα (λ = 1.5418 Å). Input: a PBE-relaxed structure.

```
MnAlIr
1.0
0.000 2.957 2.957
2.957 0.000 2.957
2.957 2.957 0.000
Mn Al Ir
1 1 1
Direct
0.000 0.000 0.000
0.500 0.500 0.500
0.250 0.250 0.250
```

Most intense lines, 10 to 90 degrees two-theta, low angle first:
| 2θ/deg | d/Å | Rel. int. |
| --- | --- | --- |
| 26.10 | 3.414 | 1000 |
| 30.22 | 2.957 | 154 |
| 43.27 | 2.091 | 790 |
| 51.23 | 1.783 | 484 |
| 53.69 | 1.707 | 46 |
| 62.86 | 1.478 | 129 |
| 69.25 | 1.357 | 198 |
| 71.32 | 1.322 | 63 |
| 79.38 | 1.207 | 263 |
| 85.27 | 1.138 | 154 |